The following is a theoretical XRD peak list of Sm2GdCd3Pt2Au. It was derived from a DFT-relaxed cell (GGA-PBE, OQMD), using Cu Kα X-rays.
Lines closer than 0.1° are merged.

Most intense lines, 2θ = 15–90°, low angle first:
two_theta, d (Å), Rel. int.
22.96, 3.874, 16
26.16, 3.406, 12
32.36, 2.767, 72
35.08, 2.558, 100
35.40, 2.536, 31
40.33, 2.236, 48
42.34, 2.134, 38
45.91, 1.977, 24
59.27, 1.559, 13
62.74, 1.481, 26
65.00, 1.435, 23
77.89, 1.226, 11

Crystal structure
```
Sm2GdCd3Pt2Au
1.0
3.9531 0.0000 0.0000
0.0000 6.7030 3.8774
0.0000 -6.7030 3.8774
Sm Gd Cd Pt Au
2 1 3 2 1
direct
0.0000 0.2051 0.7949 Sm
0.0000 0.7949 0.2051 Sm
0.0000 0.3850 0.3850 Gd
0.5000 0.0560 0.0560 Cd
0.5000 0.5343 0.7951 Cd
0.5000 0.7951 0.5343 Cd
0.5000 0.1306 0.4615 Pt
0.5000 0.4615 0.1306 Pt
0.0000 0.7937 0.7937 Au
```